Starting from a structure optimized by DFT (GGA-PBE), the XRD peak list of Th2CoAs4Rh3 was calculated for Cu Kα X-rays.

Cell and atoms:
```
10
Lattice="4.316 0.000 0.000 0.000 4.316 0.000 0.000 0.000 9.790" Properties=species:S:1:pos:R:3 pbc="T T T"
Th 0.000 2.158 2.406
Th 2.158 0.000 7.384
Co 2.158 2.158 0.000
As 0.000 0.000 4.895
As 0.000 2.158 8.528
As 2.158 0.000 1.262
As 2.158 2.158 4.895
Rh 0.000 0.000 0.000
Rh 0.000 2.158 6.084
Rh 2.158 0.000 3.706
```

Top 10 peaks for 10 to 90 degrees two-theta, sorted by position:
d [Å]	I (rel.)	index
3.949	17	1 0 1
3.052	31	1 1 0
2.603	86	1 0 3
2.590	100	1 1 2
2.158	65	2 0 0
1.783	28	1 0 5
1.661	45	2 1 3
1.526	22	2 2 0
1.375	23	2 1 5
1.315	24	3 1 2